# 1
Computed powder diffractogram
Compound: Li3MnCoO5
Radiation: copper Kα
Structure: the GGA+U geometry in the Materials Project
Lines closer than 0.1° are merged.

The 10 most intense peaks (2θ from 10° to 90°), sorted by position:
| Position (°2θ) | intensity |
| --- | --- |
| 18.2 | 100 |
| 29.6 | 10 |
| 35.0 | 10 |
| 36.0 | 25 |
| 42.1 | 27 |
| 43.7 | 57 |
| 57.5 | 9 |
| 62.0 | 15 |
| 62.5 | 12 |
| 63.9 | 8 |

Cell and atoms:
Cell: 12.190 12.190 5.236 Å, 92.68 92.68 13.72°
Fractional positions:
Li: 0.000 0.000 0.000
Li: 0.091 0.091 0.683
Li: 0.305 0.305 0.091
Li: 0.500 0.500 0.500
Li: 0.695 0.695 0.909
Li: 0.909 0.909 0.317
Mn: 0.199 0.199 0.400
Mn: 0.801 0.801 0.600
Co: 0.409 0.409 0.831
Co: 0.591 0.591 0.169
O: 0.054 0.054 0.344
O: 0.155 0.155 0.097
O: 0.252 0.252 0.719
O: 0.342 0.342 0.459
O: 0.444 0.444 0.137
O: 0.556 0.556 0.863
O: 0.658 0.658 0.541
O: 0.748 0.748 0.281
O: 0.845 0.845 0.903
O: 0.946 0.946 0.656

***

# 2
Computed powder diffractogram
Compound: Li7Mn4CoO12
Radiation: copper Kα
Structure: the GGA+U geometry in the Materials Project
Lines closer than 0.1° are merged.

The 10 most intense peaks (2θ from 10° to 90°), sorted by position:
| Position (°2θ) | intensity |
| --- | --- |
| 18.3 | 100 |
| 34.0 | 19 |
| 36.4 | 22 |
| 40.7 | 36 |
| 44.2 | 28 |
| 44.6 | 27 |
| 61.6 | 16 |
| 61.8 | 9 |
| 62.2 | 8 |
| 64.0 | 7 |

Cell and atoms:
Cell: 3.014 6.464 12.093 Å, 102.69 94.57 103.33°
Fractional positions:
Li: 0.000 0.000 0.000
Li: 0.005 0.996 0.745
Li: 0.029 0.005 0.234
Li: 0.346 0.675 0.579
Li: 0.357 0.688 0.076
Li: 0.677 0.339 0.415
Li: 0.692 0.338 0.909
Mn: 0.020 0.008 0.495
Mn: 0.363 0.675 0.324
Mn: 0.683 0.328 0.154
Mn: 0.683 0.346 0.665
Co: 0.347 0.688 0.836
O: 0.158 0.339 0.052
O: 0.167 0.365 0.787
O: 0.210 0.330 0.538
O: 0.219 0.351 0.270
O: 0.493 0.024 0.619
O: 0.504 0.971 0.862
O: 0.522 0.030 0.123
O: 0.546 0.996 0.372
O: 0.817 0.670 0.941
O: 0.829 0.684 0.449
O: 0.869 0.661 0.708
O: 0.880 0.658 0.204